For Sr8Mn2FeN8, a DFT-relaxed cell (PBE, Alexandria) gives the theoretical powder X-ray diffraction pattern in this record (a wavelength of 1.5418 Å).
Kinematic intensities with the Lorentz-polarization factor, no thermal factor.

a b c (Å): 9.805 9.805 7.561
angles (deg): 105.54 105.54 31.56
Sites, in units of the cell vectors:
Sr1 0.029 0.029 0.260
Sr2 0.200 0.200 0.806
Sr3 0.333 0.333 0.533
Sr4 0.404 0.404 0.035
Sr5 0.596 0.596 0.965
Sr6 0.667 0.667 0.467
Sr7 0.800 0.800 0.194
Sr8 0.971 0.971 0.740
Mn1 0.188 0.188 0.206
Mn2 0.812 0.812 0.794
Fe1 0.500 0.500 0.500
N1 0.108 0.108 0.015
N2 0.178 0.178 0.426
N3 0.276 0.276 0.172
N4 0.475 0.475 0.718
N5 0.525 0.525 0.282
N6 0.724 0.724 0.828
N7 0.822 0.822 0.574
N8 0.892 0.892 0.985

The 6 most intense peaks (2θ = 10–90°), most intense first:
two_theta, d [Å], I (rel.)
33.61, 2.666, 100
29.51, 3.027, 78
31.31, 2.857, 67
29.00, 3.079, 58
29.80, 2.998, 38
61.83, 1.501, 31